This entry pairs a crystal structure of SrMnSb2O8 with its computed powder X-ray diffraction pattern. Radiation: Cu Kα X-rays. Structure: a structure optimized by DFT (PBE+U).
Peak positions follow from Bragg's law for the DFT cell and can differ from measured ones.

Structure:
```
SrMnSb2O8
1.0
5.2400 0.0000 0.0000
-2.6200 4.5379 0.0000
0.0000 0.0000 7.4083
Sr Mn Sb O
1 1 2 8
direct
0.0000 0.0000 0.0000 Sr
0.0000 0.0000 0.5000 Mn
0.3333 0.6667 0.2840 Sb
0.6667 0.3333 0.7160 Sb
0.0018 0.2907 0.6573 O
0.2889 0.9982 0.6573 O
0.2907 0.2889 0.3427 O
0.3333 0.6667 0.0311 O
0.6667 0.3333 0.9689 O
0.7093 0.7111 0.6573 O
0.7111 0.0018 0.3427 O
0.9982 0.7093 0.3427 O
```

Principal peaks in the range 2θ from 10° to 90°, by angle:
d_spacing, 2θ/deg, I_rel, index
3.870, 22.98, 100, 0 1 1
2.870, 31.17, 61, 1 0 2
2.620, 34.22, 56, 1 1 0
2.470, 36.38, 14, 0 0 3
2.169, 41.63, 33, 2 0 1
1.935, 46.96, 22, 0 2 2
1.671, 54.95, 25, 1 2 1
1.556, 59.38, 21, 3 -1 2
1.512, 61.29, 33, 3 0 0
1.409, 66.36, 10, 0 1 5
1.241, 76.83, 9, 2 0 5
1.192, 80.63, 12, 1 0 6